Diffraction record for Fe2SiOs. The PXRD pattern is computed, not measured: it uses a cell relaxed with PBE and a wavelength of 1.5418 Å.
No peak broadening, texture or thermal motion is included.

Cell and atoms:
a b c (Å): 2.682 2.682 7.856
angles (deg): 90.00 90.00 113.99
Atoms (fractional coordinates):
Fe  0.000  0.000  0.000
Fe  0.500  0.500  0.248
Si  0.000  0.000  0.478
Os  0.500  0.500  0.725

Principal peaks in the range 10 to 80 degrees two-theta, by intensity:
2θ 43.54, d 2.079, I = 100; 2θ 11.26, d 7.856, I = 83; 2θ 40.10, d 2.249, I = 32; 2θ 22.64, d 3.928, I = 31; 2θ 38.49, d 2.339, I = 27; 2θ 46.22, d 1.964, I = 20; 2θ 75.23, d 1.263, I = 19; 2θ 36.68, d 2.450, I = 19; 2θ 62.82, d 1.479, I = 15; 2θ 34.24, d 2.619, I = 12

=====

Diffraction record for UFeSi2Os2. The PXRD pattern is computed, not measured: it uses a cell relaxed with PBE and a wavelength of 1.5418 Å.
No peak broadening, texture or thermal motion is included.

Cell and atoms:
a b c (Å): 4.402 4.402 5.057
angles (deg): 90.00 90.00 90.00
Atoms (fractional coordinates):
U  0.000  0.000  0.000
Fe  0.000  0.000  0.500
Si  0.000  0.500  0.500
Si  0.500  0.000  0.500
Os  0.500  0.500  0.241
Os  0.500  0.500  0.759

Principal peaks in the range 10 to 80 degrees two-theta, by intensity:
2θ 28.68, d 3.113, I = 100; 2θ 41.17, d 2.192, I = 92; 2θ 59.51, d 1.553, I = 63; 2θ 41.01, d 2.201, I = 55; 2θ 33.82, d 2.651, I = 22; 2θ 59.39, d 1.556, I = 19; 2θ 67.26, d 1.392, I = 18; 2θ 74.82, d 1.269, I = 16; 2θ 26.85, d 3.320, I = 14; 2θ 17.54, d 5.057, I = 7

=====

Diffraction record for Sm2FeOs3. The PXRD pattern is computed, not measured: it uses a cell relaxed with PBE and a wavelength of 1.5418 Å.
No peak broadening, texture or thermal motion is included.

Cell and atoms:
a b c (Å): 5.347 5.347 5.353
angles (deg): 119.44 119.44 60.38
Atoms (fractional coordinates):
Sm  0.124  0.124  0.376
Sm  0.876  0.876  0.624
Fe  0.500  0.500  0.000
Os  0.000  0.500  0.000
Os  0.500  0.000  0.000
Os  0.500  0.500  0.500

Principal peaks in the range 10 to 80 degrees two-theta, by intensity:
2θ 39.28, d 2.294, I = 100; 2θ 33.51, d 2.674, I = 46; 2θ 41.12, d 2.195, I = 37; 2θ 39.55, d 2.278, I = 35; 2θ 39.13, d 2.302, I = 28; 2θ 70.41, d 1.337, I = 25; 2θ 20.41, d 4.351, I = 24; 2θ 63.59, d 1.463, I = 22; 2θ 39.39, d 2.287, I = 22; 2θ 41.00, d 2.202, I = 19

=====

Diffraction record for FeSn6Os. The PXRD pattern is computed, not measured: it uses a cell relaxed with PBE and a wavelength of 1.5418 Å.
No peak broadening, texture or thermal motion is included.

Cell and atoms:
a b c (Å): 5.823 5.823 6.593
angles (deg): 96.04 96.04 110.41
Atoms (fractional coordinates):
Fe  0.000  0.000  0.000
Sn  0.078  0.416  0.240
Sn  0.242  0.242  0.755
Sn  0.416  0.078  0.240
Sn  0.584  0.922  0.760
Sn  0.758  0.758  0.245
Sn  0.922  0.584  0.760
Os  0.500  0.500  0.500

Principal peaks in the range 10 to 80 degrees two-theta, by intensity:
2θ 35.25, d 2.546, I = 100; 2θ 33.17, d 2.701, I = 25; 2θ 50.84, d 1.796, I = 24; 2θ 50.58, d 1.805, I = 24; 2θ 42.78, d 2.114, I = 19; 2θ 19.75, d 4.496, I = 18; 2θ 27.31, d 3.266, I = 16; 2θ 27.53, d 3.240, I = 15; 2θ 23.00, d 3.866, I = 13; 2θ 74.55, d 1.273, I = 12

=====

Diffraction record for Ta3Fe2Os. The PXRD pattern is computed, not measured: it uses a cell relaxed with PBE and a wavelength of 1.5418 Å.
No peak broadening, texture or thermal motion is included.

Cell and atoms:
a b c (Å): 6.959 6.959 3.103
angles (deg): 90.00 90.00 142.73
Atoms (fractional coordinates):
Ta  0.000  0.000  0.000
Ta  0.327  0.673  0.000
Ta  0.673  0.327  0.000
Fe  0.164  0.836  0.500
Fe  0.836  0.164  0.500
Os  0.500  0.500  0.500

Principal peaks in the range 10 to 80 degrees two-theta, by intensity:
2θ 41.00, d 2.202, I = 100; 2θ 40.57, d 2.223, I = 21; 2θ 74.09, d 1.280, I = 15; 2θ 59.10, d 1.563, I = 13; 2θ 74.76, d 1.270, I = 13; 2θ 28.55, d 3.126, I = 8; 2θ 74.58, d 1.272, I = 7; 2θ 59.59, d 1.552, I = 7; 2θ 74.92, d 1.268, I = 7; 2θ 13.43, d 6.594, I = 5

=====

Diffraction record for Ta4FeOs. The PXRD pattern is computed, not measured: it uses a cell relaxed with PBE and a wavelength of 1.5418 Å.
No peak broadening, texture or thermal motion is included.

Cell and atoms:
a b c (Å): 4.292 4.292 6.113
angles (deg): 90.07 90.07 90.00
Atoms (fractional coordinates):
Ta  0.000  0.500  0.241
Ta  0.000  0.500  0.759
Ta  0.500  0.000  0.241
Ta  0.500  0.000  0.759
Fe  0.000  0.000  0.000
Os  0.500  0.500  0.500

Principal peaks in the range 10 to 80 degrees two-theta, by intensity:
2θ 41.95, d 2.154, I = 100; 2θ 42.11, d 2.146, I = 50; 2θ 29.43, d 3.035, I = 31; 2θ 76.83, d 1.241, I = 26; 2θ 25.36, d 3.513, I = 25; 2θ 61.07, d 1.517, I = 17; 2θ 29.22, d 3.057, I = 15; 2θ 52.07, d 1.756, I = 13; 2θ 76.90, d 1.240, I = 8; 2θ 76.48, d 1.246, I = 8

=====

Diffraction record for ThTaFeOs2. The PXRD pattern is computed, not measured: it uses a cell relaxed with PBE and a wavelength of 1.5418 Å.
No peak broadening, texture or thermal motion is included.

Cell and atoms:
a b c (Å): 6.316 6.316 6.316
angles (deg): 141.33 141.33 55.85
Atoms (fractional coordinates):
Th  0.000  0.000  0.000
Ta  0.250  0.750  0.500
Fe  0.750  0.250  0.500
Os  0.386  0.386  0.000
Os  0.614  0.614  0.000

Principal peaks in the range 10 to 80 degrees two-theta, by intensity:
2θ 34.32, d 2.613, I = 100; 2θ 32.20, d 2.780, I = 89; 2θ 43.26, d 2.091, I = 70; 2θ 46.09, d 1.969, I = 56; 2θ 54.94, d 1.671, I = 42; 2θ 65.06, d 1.434, I = 41; 2θ 30.22, d 2.958, I = 34; 2θ 44.65, d 2.030, I = 26; 2θ 62.84, d 1.479, I = 23; 2θ 73.60, d 1.287, I = 22

=====

Diffraction record for Fe8Tc3Os. The PXRD pattern is computed, not measured: it uses a cell relaxed with PBE and a wavelength of 1.5418 Å.
No peak broadening, texture or thermal motion is included.

Cell and atoms:
a b c (Å): 4.650 4.650 7.615
angles (deg): 90.00 90.00 120.00
Atoms (fractional coordinates):
Fe  0.000  0.000  0.000
Fe  0.000  0.000  0.499
Fe  0.169  0.339  0.749
Fe  0.169  0.831  0.749
Fe  0.339  0.170  0.249
Fe  0.661  0.831  0.749
Fe  0.830  0.170  0.249
Fe  0.830  0.661  0.249
Tc  0.333  0.667  0.063
Tc  0.333  0.667  0.436
Tc  0.667  0.333  0.935
Os  0.667  0.333  0.561

Principal peaks in the range 10 to 80 degrees two-theta, by intensity:
2θ 45.73, d 1.984, I = 100; 2θ 42.08, d 2.147, I = 96; 2θ 46.66, d 1.946, I = 63; 2θ 38.73, d 2.325, I = 57; 2θ 72.40, d 1.305, I = 35; 2θ 78.79, d 1.215, I = 27; 2θ 75.03, d 1.266, I = 22; 2θ 45.03, d 2.013, I = 15; 2θ 25.02, d 3.560, I = 14; 2θ 32.36, d 2.767, I = 13

=====

Diffraction record for FeTcOs. The PXRD pattern is computed, not measured: it uses a cell relaxed with PBE and a wavelength of 1.5418 Å.
No peak broadening, texture or thermal motion is included.

Cell and atoms:
a b c (Å): 4.656 4.656 4.991
angles (deg): 117.59 117.59 60.22
Atoms (fractional coordinates):
Fe  0.168  0.168  0.007
Fe  0.832  0.832  0.993
Tc  0.328  0.672  0.500
Tc  0.501  0.499  0.000
Os  0.000  0.330  0.502
Os  0.670  0.000  0.498

Principal peaks in the range 10 to 80 degrees two-theta, by intensity:
2θ 44.37, d 2.042, I = 100; 2θ 44.51, d 2.036, I = 49; 2θ 42.90, d 2.108, I = 35; 2θ 38.68, d 2.328, I = 33; 2θ 21.07, d 4.216, I = 29; 2θ 59.03, d 1.565, I = 19; 2θ 79.60, d 1.204, I = 18; 2θ 69.83, d 1.347, I = 17; 2θ 38.55, d 2.336, I = 17; 2θ 59.21, d 1.560, I = 10

=====

Diffraction record for ThFeOs. The PXRD pattern is computed, not measured: it uses a cell relaxed with PBE and a wavelength of 1.5418 Å.
No peak broadening, texture or thermal motion is included.

Cell and atoms:
a b c (Å): 5.382 5.382 5.382
angles (deg): 124.51 116.19 89.55
Atoms (fractional coordinates):
Th  0.371  0.121  0.250
Th  0.629  0.879  0.750
Fe  0.000  0.000  0.500
Fe  0.000  0.500  0.000
Os  0.000  0.500  0.500
Os  0.500  0.500  0.000

Principal peaks in the range 10 to 80 degrees two-theta, by intensity:
2θ 38.24, d 2.354, I = 100; 2θ 33.43, d 2.680, I = 59; 2θ 39.70, d 2.271, I = 41; 2θ 41.10, d 2.196, I = 31; 2θ 70.24, d 1.340, I = 31; 2θ 35.84, d 2.506, I = 30; 2θ 66.00, d 1.415, I = 21; 2θ 39.50, d 2.282, I = 21; 2θ 38.73, d 2.325, I = 21; 2θ 43.18, d 2.095, I = 19

=====

Diffraction record for Tm3Fe7Os2. The PXRD pattern is computed, not measured: it uses a cell relaxed with PBE and a wavelength of 1.5418 Å.
No peak broadening, texture or thermal motion is included.

Cell and atoms:
a b c (Å): 8.874 8.874 8.874
angles (deg): 32.86 32.86 32.86
Atoms (fractional coordinates):
Tm  0.000  0.000  0.000
Tm  0.142  0.142  0.142
Tm  0.858  0.858  0.858
Fe  0.084  0.585  0.585
Fe  0.415  0.415  0.916
Fe  0.415  0.916  0.415
Fe  0.500  0.500  0.500
Fe  0.585  0.084  0.585
Fe  0.585  0.585  0.084
Fe  0.916  0.415  0.415
Os  0.333  0.333  0.333
Os  0.667  0.667  0.667

Principal peaks in the range 10 to 80 degrees two-theta, by intensity:
2θ 41.95, d 2.154, I = 100; 2θ 35.78, d 2.510, I = 62; 2θ 68.51, d 1.370, I = 23; 2θ 21.19, d 4.194, I = 22; 2θ 75.81, d 1.255, I = 17; 2θ 32.32, d 2.770, I = 16; 2θ 67.12, d 1.395, I = 16; 2θ 10.55, d 8.387, I = 15; 2θ 48.76, d 1.868, I = 13; 2θ 43.14, d 2.097, I = 13

=====

Diffraction record for U4FeOs. The PXRD pattern is computed, not measured: it uses a cell relaxed with PBE and a wavelength of 1.5418 Å.
No peak broadening, texture or thermal motion is included.

Cell and atoms:
a b c (Å): 7.971 7.971 5.676
angles (deg): 102.92 102.92 40.60
Atoms (fractional coordinates):
U  0.020  0.823  0.510
U  0.143  0.520  0.934
U  0.177  0.980  0.990
U  0.480  0.857  0.566
U  0.520  0.143  0.434
U  0.823  0.020  0.010
U  0.857  0.480  0.066
U  0.980  0.177  0.490
Fe  0.000  0.500  0.500
Fe  0.500  0.000  0.000
Os  0.439  0.561  0.250
Os  0.561  0.439  0.750

Principal peaks in the range 10 to 80 degrees two-theta, by intensity:
2θ 37.16, d 2.420, I = 100; 2θ 34.89, d 2.571, I = 48; 2θ 35.26, d 2.545, I = 48; 2θ 35.91, d 2.501, I = 46; 2θ 31.78, d 2.815, I = 42; 2θ 38.29, d 2.351, I = 40; 2θ 32.49, d 2.756, I = 38; 2θ 34.71, d 2.584, I = 32; 2θ 41.78, d 2.162, I = 28; 2θ 46.77, d 1.942, I = 25